No. 1
Diffraction record for Ac2YIn2. The powder X-ray diffraction pattern is calculated, not measured: it uses a GGA-PBE-relaxed structure and λ = 1.5418 Å (Cu Kα).

Most intense lines, 10° ≤ 2θ ≤ 90°, by angle:
21.6°, I 37, (1 1 0); 28.2°, I 100, (1 1 2); 29.9°, I 32, (0 1 3); 31.1°, I 38, (0 2 2); 32.2°, I 62, (1 2 1); 32.4°, I 39, (1 0 3); 35.5°, I 34, (2 0 0); 47.1°, I 19, (2 1 3); 47.4°, I 18, (0 3 3); 47.9°, I 23, (2 2 2); 56.2°, I 38, (1 2 5); 60.6°, I 17, (2 3 3)

Structural model:
```
data_Ac2YIn2
_symmetry_space_group_name_H-M 'I m m m'
_symmetry_Int_Tables_number 71
_symmetry_space_group_name_Hall '-I 2 2'
_cell_length_a 5.0521
_cell_length_b 7.0597
_cell_length_c 9.9148
_cell_angle_alpha 90.00
_cell_angle_beta 90.00
_cell_angle_gamma 90.00
loop_
_atom_site_label
_atom_site_fract_x
_atom_site_fract_y
_atom_site_fract_z
_atom_site_occupancy
Ac1 0.0000 0.0000 0.1976 1
Y1 0.0000 0.5000 0.0000 1
In1 0.0000 0.2800 0.5000 1
```

---

No. 2
Diffraction record for Pm2SbRh. The powder X-ray diffraction pattern is calculated, not measured: it uses a GGA-PBE-relaxed structure and λ = 1.5418 Å (Cu Kα).

Most intense lines, 10° ≤ 2θ ≤ 90°, by angle:
33.9°, I 100, (1 0 2); 35.2°, I 49, (1 1 0); 43.0°, I 4, (1 0 3); 46.9°, I 8, (0 0 4); 50.6°, I 17, (2 0 0); 59.9°, I 15, (1 1 4); 62.3°, I 34, (2 1 2); 71.4°, I 9, (2 0 4); 74.4°, I 5, (2 2 0); 78.6°, I 4, (1 0 6); 84.3°, I 7, (3 0 2); 85.0°, I 8, (3 1 0)

Structural model:
```
data_Pm2SbRh
_symmetry_space_group_name_H-M 'P 4/m m m'
_symmetry_Int_Tables_number 123
_symmetry_space_group_name_Hall '-P 4 2'
_cell_length_a 3.6084
_cell_length_b 3.6084
_cell_length_c 7.7555
_cell_angle_alpha 90.00
_cell_angle_beta 90.00
_cell_angle_gamma 90.00
loop_
_atom_site_label
_atom_site_fract_x
_atom_site_fract_y
_atom_site_fract_z
_atom_site_occupancy
Pm1 0.0000 0.0000 0.2205 1
Sb1 0.5000 0.5000 0.5000 1
Rh1 0.5000 0.5000 0.0000 1
```